Starting from the PBE geometry in Alexandria, the powder diffraction line list of V6GaW was simulated for λ = 1.5418 Å (Cu Kα).
Neutral-atom scattering factors, no anomalous dispersion.

Atomic structure:
```
V6GaW
1.0
4.820 0.000 0.000
0.000 4.820 0.000
0.000 0.000 4.820
V Ga W
6 1 1
Cartesian
0.000 1.220 2.410
0.000 3.600 2.410
1.220 2.410 0.000
2.410 0.000 1.220
2.410 0.000 3.600
3.600 2.410 0.000
0.000 0.000 0.000
2.410 2.410 2.410
```

The 8 most intense peaks (2θ = 10–90°), by angle:
2theta	d/Å	I (rel.)	(hkl)
18.4	4.820	25	1 0 0
26.1	3.408	43	1 1 0
37.3	2.410	46	2 0 0
41.9	2.156	54	2 0 1
46.1	1.968	100	2 1 1
70.4	1.337	10	3 2 0
73.5	1.288	48	3 2 1
79.6	1.205	11	4 0 0